Hf2V3Cr: calculated XRD peak list (copper Kα), based on a crystal structure in Alexandria, relaxed with GGA-PBE.
Intensities are scaled so that the largest is 100.

Peak list (10 most intense, 2θ = 5–70°, low angle first)
(0 0 1), 2θ = 20.85°, I 61
(0 2 0), 2θ = 33.98°, I 40
(1 1 1), 2θ = 34.08°, I 80
(3 1 -1), 2θ = 35.94°, I 100
(0 2 1), 2θ = 40.22°, I 47
(2 2 -1), 2θ = 41.07°, I 98
(3 1 0), 2θ = 41.14°, I 49
(4 0 -1), 2θ = 42.71°, I 59
(4 2 0), 2θ = 62.22°, I 28
(6 0 -2), 2θ = 65.80°, I 24

Structure:
Lattice parameters (Å, degrees): 8.5214 5.2767 5.0101 90.00 121.86 90.00
Atoms (fractional coordinates):
Hf 0.1266 0.0000 0.3736
Hf 0.3734 0.5000 0.6264
Hf 0.6266 0.5000 0.3736
Hf 0.8734 0.0000 0.6264
V 0.0000 0.5000 0.5000
V 0.2500 0.2500 0.0000
V 0.2500 0.7500 0.0000
V 0.5000 0.0000 0.5000
V 0.7500 0.2500 0.0000
V 0.7500 0.7500 0.0000
Cr 0.0000 0.5000 0.0000
Cr 0.5000 0.0000 0.0000